# 1
Diffraction record for Zn3SbAs2Pb3O14. The powder diffractogram is simulated, not measured: it uses a crystal structure in the Materials Project, relaxed with PBE and λ = 1.5418 Å (Cu Kα).
No peak broadening, texture or thermal motion is included.

Structural model:
a = 8.6768 Å, b = 8.6768 Å, c = 5.3801 Å
α = 90.00°, β = 90.00°, γ = 120.00°
Fractional coordinates of all 23 atoms:
Zn (0.0000, 0.2372, 0.0000)
Zn (0.2372, 0.0000, 0.0000)
Zn (0.7628, 0.7628, 0.0000)
Sb (0.0000, 0.0000, 0.5000)
As (0.3333, 0.6667, 0.0378)
As (0.6667, 0.3333, 0.9622)
Pb (0.0000, 0.6047, 0.5000)
Pb (0.3953, 0.3953, 0.5000)
Pb (0.6047, 0.0000, 0.5000)
O (0.0924, 0.8750, 0.7143)
O (0.1250, 0.2175, 0.7143)
O (0.1962, 0.4586, 0.1671)
O (0.2175, 0.1250, 0.2857)
O (0.2624, 0.8038, 0.1671)
O (0.3333, 0.6667, 0.7192)
O (0.4586, 0.1962, 0.8329)
O (0.5414, 0.7376, 0.1671)
O (0.6667, 0.3333, 0.2808)
O (0.7376, 0.5414, 0.8329)
O (0.7825, 0.9076, 0.7143)
O (0.8038, 0.2624, 0.8329)
O (0.8750, 0.0924, 0.2857)
O (0.9076, 0.7825, 0.2857)

Top 10 peaks for 2θ = 10–90°, in order of falling intensity:
two_theta	I/Imax
26.39	1000
28.99	664
56.02	252
31.50	239
35.85	215
49.74	212
46.74	212
46.50	212
20.47	206
33.31	190

---

# 2
Diffraction record for TiAs2Pb2O9. The powder diffractogram is simulated, not measured: it uses a crystal structure in the Materials Project, relaxed with PBE and λ = 1.5418 Å (Cu Kα).
No peak broadening, texture or thermal motion is included.

Structural model:
a = 7.0120 Å, b = 16.7575 Å, c = 7.4209 Å
α = 90.00°, β = 114.63°, γ = 90.00°
Fractional coordinates of all 56 atoms:
Ti (0.2435, 0.2447, 0.2198)
Ti (0.2435, 0.2553, 0.7198)
Ti (0.7565, 0.7447, 0.2802)
Ti (0.7565, 0.7553, 0.7802)
As (0.2392, 0.0781, 0.4883)
As (0.2392, 0.4219, 0.9883)
As (0.2554, 0.6618, 0.5188)
As (0.2554, 0.8382, 0.0188)
As (0.7446, 0.1618, 0.9812)
As (0.7446, 0.3382, 0.4812)
As (0.7608, 0.5781, 0.0117)
As (0.7608, 0.9219, 0.5117)
Pb (0.2292, 0.0545, 0.9624)
Pb (0.2292, 0.4455, 0.4624)
Pb (0.2630, 0.6204, 0.0461)
Pb (0.2630, 0.8796, 0.5461)
Pb (0.7370, 0.1204, 0.4539)
Pb (0.7370, 0.3796, 0.9539)
Pb (0.7708, 0.5545, 0.5376)
Pb (0.7708, 0.9455, 0.0376)
O (0.0203, 0.0332, 0.3212)
O (0.0203, 0.4668, 0.8212)
O (0.0565, 0.7189, 0.3410)
O (0.0565, 0.7811, 0.8410)
O (0.1534, 0.6003, 0.6426)
O (0.1534, 0.8997, 0.1426)
O (0.1669, 0.1404, 0.6411)
O (0.1669, 0.3596, 0.1411)
O (0.2412, 0.2118, 0.9950)
O (0.2412, 0.2882, 0.4950)
O (0.3483, 0.1371, 0.3615)
O (0.3483, 0.3629, 0.8615)
O (0.3780, 0.6032, 0.4068)
O (0.3780, 0.8968, 0.9068)
O (0.4139, 0.0135, 0.6513)
O (0.4139, 0.4865, 0.1513)
O (0.4378, 0.7299, 0.6726)
O (0.4378, 0.7701, 0.1726)
O (0.5622, 0.2299, 0.8274)
O (0.5622, 0.2701, 0.3274)
O (0.5861, 0.5135, 0.8487)
O (0.5861, 0.9865, 0.3487)
O (0.6220, 0.1032, 0.0932)
O (0.6220, 0.3968, 0.5932)
O (0.6517, 0.6371, 0.1385)
O (0.6517, 0.8629, 0.6385)
O (0.7588, 0.7118, 0.5050)
O (0.7588, 0.7882, 0.0050)
O (0.8331, 0.6404, 0.8589)
O (0.8331, 0.8596, 0.3589)
O (0.8466, 0.1003, 0.8574)
O (0.8466, 0.3997, 0.3574)
O (0.9435, 0.2189, 0.1590)
O (0.9435, 0.2811, 0.6590)
O (0.9797, 0.5332, 0.1788)
O (0.9797, 0.9668, 0.6788)

Top 10 peaks for 2θ = 10–90°, in order of falling intensity:
two_theta	I/Imax
30.13	1000
28.00	887
26.43	606
29.47	583
36.24	425
18.06	403
50.88	381
10.56	293
31.37	272
40.27	245

---

# 3
Diffraction record for Zn2As2PbO10. The powder diffractogram is simulated, not measured: it uses a crystal structure in the Materials Project, relaxed with PBE and λ = 1.5418 Å (Cu Kα).
No peak broadening, texture or thermal motion is included.

Structural model:
a = 5.4349 Å, b = 5.4349 Å, c = 7.6510 Å
α = 106.61°, β = 106.61°, γ = 76.25°
Fractional coordinates of all 15 atoms:
Zn (0.0000, 0.5000, 0.0000)
Zn (0.5000, 0.0000, 0.0000)
As (0.0678, 0.0678, 0.2760)
As (0.9322, 0.9322, 0.7240)
Pb (0.5000, 0.5000, 0.5000)
O (0.1562, 0.7311, 0.2409)
O (0.1778, 0.1778, 0.1204)
O (0.2151, 0.2151, 0.4970)
O (0.2689, 0.8438, 0.7591)
O (0.4213, 0.4213, 0.9496)
O (0.5787, 0.5787, 0.0504)
O (0.7311, 0.1562, 0.2409)
O (0.7849, 0.7849, 0.5030)
O (0.8222, 0.8222, 0.8796)
O (0.8438, 0.2689, 0.7591)

Top 10 peaks for 2θ = 10–90°, in order of falling intensity:
two_theta	I/Imax
29.41	1000
26.91	835
18.79	717
33.81	436
55.47	421
34.96	410
34.19	355
36.61	326
21.23	263
59.31	234

---

# 4
Diffraction record for ZnAs2Pb2O9. The powder diffractogram is simulated, not measured: it uses a crystal structure in the Materials Project, relaxed with PBE and λ = 1.5418 Å (Cu Kα).
No peak broadening, texture or thermal motion is included.

Structural model:
a = 8.1548 Å, b = 5.8709 Å, c = 9.1476 Å
α = 90.00°, β = 113.42°, γ = 90.00°
Fractional coordinates of all 28 atoms:
Zn (0.0000, 0.0000, 0.0000)
Zn (0.0000, 0.5000, 0.0000)
As (0.0207, 0.2500, 0.6505)
As (0.4214, 0.7500, 0.1646)
As (0.5786, 0.2500, 0.8354)
As (0.9793, 0.7500, 0.3495)
Pb (0.2733, 0.7500, 0.7359)
Pb (0.2984, 0.2500, 0.3533)
Pb (0.7016, 0.7500, 0.6467)
Pb (0.7267, 0.2500, 0.2641)
O (0.0734, 0.0051, 0.7712)
O (0.0734, 0.4949, 0.7712)
O (0.1377, 0.2500, 0.5369)
O (0.1506, 0.2500, 0.0917)
O (0.2000, 0.7500, 0.1358)
O (0.2090, 0.7500, 0.4685)
O (0.4568, 0.7500, 0.9925)
O (0.4850, 0.0083, 0.7213)
O (0.4850, 0.4917, 0.7213)
O (0.5150, 0.5083, 0.2787)
O (0.5150, 0.9917, 0.2787)
O (0.5432, 0.2500, 0.0075)
O (0.7910, 0.2500, 0.5315)
O (0.8000, 0.2500, 0.8642)
O (0.8494, 0.7500, 0.9083)
O (0.8623, 0.7500, 0.4631)
O (0.9266, 0.5051, 0.2288)
O (0.9266, 0.9949, 0.2288)

Top 10 peaks for 2θ = 10–90°, in order of falling intensity:
two_theta	I/Imax
26.64	1000
18.44	429
30.45	355
32.14	318
29.30	229
29.16	228
33.52	222
21.17	221
39.00	217
24.16	211

---

# 5
Diffraction record for As2PdO6. The powder diffractogram is simulated, not measured: it uses a crystal structure in the Materials Project, relaxed with PBE and λ = 1.5418 Å (Cu Kα).
No peak broadening, texture or thermal motion is included.

Structural model:
a = 4.9279 Å, b = 4.9279 Å, c = 4.7385 Å
α = 90.00°, β = 90.00°, γ = 120.00°
Fractional coordinates of all 9 atoms:
As (0.3333, 0.6667, 0.0000)
As (0.6667, 0.3333, 0.0000)
Pd (0.0000, 0.0000, 0.5000)
O (0.0000, 0.3727, 0.7811)
O (0.0000, 0.6273, 0.2189)
O (0.3727, 0.0000, 0.7811)
O (0.3727, 0.3727, 0.2189)
O (0.6273, 0.0000, 0.2189)
O (0.6273, 0.6273, 0.7811)

Top 10 peaks for 2θ = 10–90°, in order of falling intensity:
two_theta	I/Imax
28.14	1000
53.67	411
36.47	328
46.68	224
60.64	218
65.63	130
62.72	91
84.34	90
89.71	88
86.17	81

---

# 6
Diffraction record for PrAsO4. The powder diffractogram is simulated, not measured: it uses a crystal structure in the Materials Project, relaxed with PBE and λ = 1.5418 Å (Cu Kα).
No peak broadening, texture or thermal motion is included.

Structural model:
a = 6.1873 Å, b = 6.1873 Å, c = 6.1873 Å
α = 106.33°, β = 106.33°, γ = 115.96°
Fractional coordinates of all 12 atoms:
Pr (0.3750, 0.6250, 0.7500)
Pr (0.6250, 0.3750, 0.2500)
As (0.1250, 0.8750, 0.2500)
As (0.8750, 0.1250, 0.7500)
O (0.1343, 0.7062, 0.4282)
O (0.2220, 0.2938, 0.9282)
O (0.2938, 0.2220, 0.4282)
O (0.2938, 0.8657, 0.0718)
O (0.7062, 0.1343, 0.9282)
O (0.7062, 0.7780, 0.5718)
O (0.7780, 0.7062, 0.0718)
O (0.8657, 0.2938, 0.5718)

Top 10 peaks for 2θ = 10–90°, in order of falling intensity:
two_theta	I/Imax
23.99	1000
32.18	718
47.65	597
34.18	232
59.94	175
49.12	154
70.85	145
55.38	140
82.75	125
61.85	122

---

# 7
Diffraction record for PrAsO4. The powder diffractogram is simulated, not measured: it uses a crystal structure in the Materials Project, relaxed with PBE and λ = 1.5418 Å (Cu Kα).
No peak broadening, texture or thermal motion is included.

Structural model:
a = 6.9742 Å, b = 6.9742 Å, c = 6.9742 Å
α = 136.23°, β = 136.23°, γ = 63.62°
Fractional coordinates of all 12 atoms:
Pr (0.3750, 0.1250, 0.2500)
Pr (0.6250, 0.8750, 0.7500)
As (0.1250, 0.3750, 0.7500)
As (0.8750, 0.6250, 0.2500)
O (0.0674, 0.2041, 0.3672)
O (0.2002, 0.5674, 0.3632)
O (0.2959, 0.1630, 0.8632)
O (0.3370, 0.7002, 0.1328)
O (0.6630, 0.2998, 0.8672)
O (0.7041, 0.8370, 0.1368)
O (0.7998, 0.4326, 0.6368)
O (0.9326, 0.7959, 0.6328)

Top 10 peaks for 2θ = 10–90°, in order of falling intensity:
two_theta	I/Imax
28.57	1000
46.47	291
58.24	266
34.50	207
52.59	180
30.16	170
75.19	127
59.15	124
49.59	115
18.64	81

---

# 8
Diffraction record for RbAsO3. The powder diffractogram is simulated, not measured: it uses a crystal structure in the Materials Project, relaxed with PBE and λ = 1.5418 Å (Cu Kα).
No peak broadening, texture or thermal motion is included.

Structural model:
a = 3.9394 Å, b = 3.9394 Å, c = 3.9394 Å
α = 90.00°, β = 90.00°, γ = 90.00°
Fractional coordinates of all 5 atoms:
Rb (0.0000, 0.0000, 0.0000)
As (0.5000, 0.5000, 0.5000)
O (0.0000, 0.5000, 0.5000)
O (0.5000, 0.0000, 0.5000)
O (0.5000, 0.5000, 0.0000)

Top 8 peaks for 2θ = 10–90°, in order of falling intensity:
two_theta	I/Imax
32.13	1000
57.29	389
46.08	365
67.22	216
76.46	171
85.36	73
39.63	56
80.94	12

---

# 9
Diffraction record for Rb8AsO3. The powder diffractogram is simulated, not measured: it uses a crystal structure in the Materials Project, relaxed with PBE and λ = 1.5418 Å (Cu Kα).
No peak broadening, texture or thermal motion is included.

Structural model:
a = 7.3165 Å, b = 7.3165 Å, c = 7.3165 Å
α = 90.00°, β = 90.00°, γ = 90.00°
Fractional coordinates of all 12 atoms:
Rb (0.2362, 0.2362, 0.2362)
Rb (0.2362, 0.2362, 0.7638)
Rb (0.2362, 0.7638, 0.2362)
Rb (0.2362, 0.7638, 0.7638)
Rb (0.7638, 0.2362, 0.2362)
Rb (0.7638, 0.2362, 0.7638)
Rb (0.7638, 0.7638, 0.2362)
Rb (0.7638, 0.7638, 0.7638)
As (0.5000, 0.5000, 0.5000)
O (0.0000, 0.0000, 0.5000)
O (0.0000, 0.5000, 0.0000)
O (0.5000, 0.0000, 0.0000)

Top 10 peaks for 2θ = 10–90°, in order of falling intensity:
two_theta	I/Imax
34.68	1000
24.33	602
62.15	312
56.23	205
42.82	164
49.85	162
83.58	122
73.17	91
78.43	86
27.26	84

---

# 10
Diffraction record for RbScAs2O7. The powder diffractogram is simulated, not measured: it uses a crystal structure in the Materials Project, relaxed with PBE and λ = 1.5418 Å (Cu Kα).
No peak broadening, texture or thermal motion is included.

Structural model:
a = 7.9733 Å, b = 10.7983 Å, c = 8.9361 Å
α = 90.00°, β = 106.52°, γ = 90.00°
Fractional coordinates of all 44 atoms:
Rb (0.1723, 0.1802, 0.0500)
Rb (0.1723, 0.3198, 0.5500)
Rb (0.8277, 0.6802, 0.4500)
Rb (0.8277, 0.8198, 0.9500)
Sc (0.2356, 0.5997, 0.2643)
Sc (0.2356, 0.9003, 0.7643)
Sc (0.7644, 0.0997, 0.2357)
Sc (0.7644, 0.4003, 0.7357)
As (0.1382, 0.5921, 0.8347)
As (0.1382, 0.9079, 0.3347)
As (0.4427, 0.6381, 0.6906)
As (0.4427, 0.8619, 0.1906)
As (0.5573, 0.1381, 0.8094)
As (0.5573, 0.3619, 0.3094)
As (0.8618, 0.0921, 0.6653)
As (0.8618, 0.4079, 0.1653)
O (0.9997, 0.0131, 0.2217)
O (0.9997, 0.4869, 0.7217)
O (0.0003, 0.5131, 0.2783)
O (0.0003, 0.9869, 0.7783)
O (0.0861, 0.7353, 0.7546)
O (0.0861, 0.7647, 0.2546)
O (0.1485, 0.5873, 0.0250)
O (0.1485, 0.9127, 0.5250)
O (0.3091, 0.6085, 0.5097)
O (0.3091, 0.8915, 0.0097)
O (0.3511, 0.5495, 0.8202)
O (0.3511, 0.9505, 0.3202)
O (0.3519, 0.0808, 0.7780)
O (0.3519, 0.4192, 0.2780)
O (0.4523, 0.7118, 0.2518)
O (0.4523, 0.7882, 0.7518)
O (0.5477, 0.2118, 0.2482)
O (0.5477, 0.2882, 0.7482)
O (0.6481, 0.5808, 0.7220)
O (0.6481, 0.9192, 0.2220)
O (0.6489, 0.0495, 0.6798)
O (0.6489, 0.4505, 0.1798)
O (0.6909, 0.1085, 0.9903)
O (0.6909, 0.3915, 0.4903)
O (0.8515, 0.0873, 0.4750)
O (0.8515, 0.4127, 0.9750)
O (0.9139, 0.2353, 0.7454)
O (0.9139, 0.2647, 0.2454)

Top 10 peaks for 2θ = 10–90°, in order of falling intensity:
two_theta	I/Imax
28.08	1000
27.87	823
19.44	596
26.51	566
27.39	530
24.16	503
20.73	406
27.76	349
54.78	298
26.87	289

---

- Number 6 is which compound?
  PrAsO4